Simulated powder XRD pattern of Pr6SmSe8 for λ = 1.5418 Å (Cu Kα), from a crystal structure in Alexandria, relaxed with GGA-PBE.
Lines closer than 0.1° are merged.

Atomic structure:
a b c (Å): 8.496 8.496 8.496
angles (deg): 60.00 60.00 60.00
Sites, in units of the cell vectors:
Pr 0.000 0.000 0.500
Pr 0.000 0.500 0.000
Pr 0.000 0.500 0.500
Pr 0.500 0.000 0.000
Pr 0.500 0.000 0.500
Pr 0.500 0.500 0.000
Sm 0.000 0.000 0.000
Se 0.249 0.249 0.751
Se 0.249 0.751 0.249
Se 0.249 0.751 0.751
Se 0.250 0.250 0.250
Se 0.750 0.750 0.750
Se 0.751 0.249 0.249
Se 0.751 0.249 0.751
Se 0.751 0.751 0.249

The 10 most intense peaks (15 to 90 degrees two-theta), in order of falling intensity:
two_theta, d [Å], I/Imax
29.74, 3.004, 100
42.56, 2.124, 75
70.04, 1.343, 34
52.79, 1.734, 26
77.90, 1.226, 25
61.77, 1.502, 12
25.68, 3.469, 9
24.57, 3.623, 5
50.38, 1.811, 5
20.91, 4.248, 3

***

Simulated powder XRD pattern of PrSmTeSe2 for λ = 1.5418 Å (Cu Kα), from a crystal structure in Alexandria, relaxed with GGA-PBE.
Lines closer than 0.1° are merged.

Atomic structure:
a b c (Å): 7.981 7.981 7.981
angles (deg): 145.68 145.68 49.32
Sites, in units of the cell vectors:
Pr 0.000 0.000 0.000
Sm 0.725 0.725 0.000
Te 0.365 0.365 0.000
Se 0.116 0.616 0.500
Se 0.616 0.116 0.500

The 10 most intense peaks (15 to 90 degrees two-theta), in order of falling intensity:
two_theta, d [Å], I/Imax
26.42, 3.374, 100
38.22, 2.355, 45
47.06, 1.931, 42
29.52, 3.026, 31
36.64, 2.453, 30
46.41, 1.956, 27
26.77, 3.330, 23
36.37, 2.470, 17
55.16, 1.665, 15
64.90, 1.437, 15

***

Simulated powder XRD pattern of Pr5SnSe4 for λ = 1.5418 Å (Cu Kα), from a crystal structure in Alexandria, relaxed with GGA-PBE.
Lines closer than 0.1° are merged.

Atomic structure:
a b c (Å): 7.511 7.511 7.511
angles (deg): 99.56 99.56 131.90
Sites, in units of the cell vectors:
Pr 0.000 0.000 0.000
Pr 0.194 0.400 0.594
Pr 0.400 0.806 0.206
Pr 0.600 0.194 0.794
Pr 0.806 0.600 0.406
Sn 0.500 0.500 0.000
Se 0.103 0.701 0.804
Se 0.299 0.103 0.403
Se 0.701 0.897 0.597
Se 0.897 0.299 0.196

The 10 most intense peaks (15 to 90 degrees two-theta), in order of falling intensity:
two_theta, d [Å], I/Imax
29.13, 3.065, 100
41.67, 2.167, 75
51.65, 1.770, 27
76.06, 1.251, 25
68.40, 1.371, 23
68.52, 1.370, 12
25.16, 3.539, 11
60.35, 1.534, 8
49.30, 1.848, 5
60.49, 1.531, 4

***

Simulated powder XRD pattern of Pr8SnSe6 for λ = 1.5418 Å (Cu Kα), from a crystal structure in Alexandria, relaxed with GGA-PBE.
Lines closer than 0.1° are merged.

Atomic structure:
a b c (Å): 10.970 10.970 4.280
angles (deg): 90.00 90.00 120.00
Sites, in units of the cell vectors:
Pr 0.035 0.325 0.247
Pr 0.290 0.965 0.247
Pr 0.325 0.290 0.753
Pr 0.333 0.667 0.751
Pr 0.667 0.333 0.249
Pr 0.675 0.710 0.247
Pr 0.710 0.035 0.753
Pr 0.965 0.675 0.753
Sn 0.000 0.000 0.000
Se 0.132 0.649 0.250
Se 0.351 0.483 0.250
Se 0.483 0.132 0.750
Se 0.517 0.868 0.250
Se 0.649 0.517 0.750
Se 0.868 0.351 0.750

The 10 most intense peaks (15 to 90 degrees two-theta), in order of falling intensity:
two_theta, d [Å], I/Imax
28.18, 3.167, 100
32.55, 2.751, 97
39.00, 2.309, 78
26.41, 3.374, 65
28.06, 3.180, 56
34.02, 2.635, 45
46.77, 1.942, 42
73.15, 1.294, 30
42.23, 2.140, 26
58.25, 1.584, 22

***

Simulated powder XRD pattern of Sr5Pr3Se8 for λ = 1.5418 Å (Cu Kα), from a crystal structure in Alexandria, relaxed with GGA-PBE.
Lines closer than 0.1° are merged.

Atomic structure:
a b c (Å): 8.766 8.766 8.766
angles (deg): 59.47 59.47 59.47
Sites, in units of the cell vectors:
Sr 0.000 0.000 0.000
Sr 0.000 0.500 0.500
Sr 0.500 0.000 0.500
Sr 0.500 0.500 0.000
Sr 0.500 0.500 0.500
Pr 0.000 0.000 0.500
Pr 0.000 0.500 0.000
Pr 0.500 0.000 0.000
Se 0.244 0.750 0.750
Se 0.248 0.248 0.248
Se 0.250 0.250 0.756
Se 0.250 0.756 0.250
Se 0.750 0.244 0.750
Se 0.750 0.750 0.244
Se 0.752 0.752 0.752
Se 0.756 0.250 0.250

The 10 most intense peaks (15 to 90 degrees two-theta), in order of falling intensity:
two_theta, d [Å], I/Imax
28.93, 3.086, 100
41.20, 2.191, 38
41.54, 2.174, 37
51.42, 1.777, 20
67.66, 1.385, 17
68.15, 1.376, 17
75.56, 1.258, 13
59.94, 1.543, 12
50.83, 1.796, 7
74.85, 1.269, 6

***

Simulated powder XRD pattern of Sr2PrSe3 for λ = 1.5418 Å (Cu Kα), from a crystal structure in Alexandria, relaxed with GGA-PBE.
Lines closer than 0.1° are merged.

Atomic structure:
a b c (Å): 7.595 7.595 7.595
angles (deg): 146.69 131.95 59.72
Sites, in units of the cell vectors:
Sr 0.168 0.168 0.000
Sr 0.832 0.832 0.000
Pr 0.500 0.500 0.000
Se 0.000 0.500 0.500
Se 0.338 0.838 0.500
Se 0.662 0.162 0.500

The 10 most intense peaks (15 to 90 degrees two-theta), in order of falling intensity:
two_theta, d [Å], I/Imax
28.88, 3.092, 100
41.30, 2.186, 50
67.77, 1.383, 23
51.02, 1.790, 13
51.33, 1.780, 13
41.11, 2.196, 13
41.48, 2.177, 12
59.83, 1.546, 12
75.54, 1.259, 8
75.04, 1.266, 8

***

Simulated powder XRD pattern of Sr2PrTmSe4 for λ = 1.5418 Å (Cu Kα), from a crystal structure in Alexandria, relaxed with GGA-PBE.
Lines closer than 0.1° are merged.

Atomic structure:
a b c (Å): 7.369 4.240 7.502
angles (deg): 90.00 108.96 90.00
Sites, in units of the cell vectors:
Sr 0.000 0.000 0.000
Sr 0.500 0.500 0.000
Pr 0.000 0.500 0.500
Tm 0.500 0.000 0.500
Se 0.257 0.000 0.738
Se 0.267 0.500 0.270
Se 0.733 0.500 0.730
Se 0.743 0.000 0.262

The 10 most intense peaks (15 to 90 degrees two-theta), in order of falling intensity:
two_theta, d [Å], I/Imax
29.52, 3.026, 100
41.95, 2.154, 25
42.53, 2.126, 24
52.72, 1.736, 13
41.83, 2.160, 12
42.65, 2.120, 12
61.27, 1.513, 12
69.04, 1.360, 11
69.88, 1.346, 11
77.55, 1.231, 8

***

Simulated powder XRD pattern of SrPr3Y2Se6 for λ = 1.5418 Å (Cu Kα), from a crystal structure in Alexandria, relaxed with GGA-PBE.
Lines closer than 0.1° are merged.

Atomic structure:
a b c (Å): 7.274 7.274 7.405
angles (deg): 99.40 99.40 120.05
Sites, in units of the cell vectors:
Sr 0.000 0.000 0.000
Pr 0.160 0.840 0.500
Pr 0.500 0.500 0.500
Pr 0.840 0.160 0.500
Y 0.333 0.667 0.000
Y 0.667 0.333 0.000
Se 0.080 0.425 0.242
Se 0.265 0.265 0.766
Se 0.425 0.080 0.242
Se 0.575 0.920 0.758
Se 0.735 0.735 0.234
Se 0.920 0.575 0.758

The 10 most intense peaks (15 to 90 degrees two-theta), in order of falling intensity:
two_theta, d [Å], I/Imax
29.89, 2.989, 100
42.48, 2.128, 37
43.09, 2.099, 36
53.33, 1.718, 19
70.00, 1.344, 16
70.88, 1.330, 16
62.11, 1.494, 12
78.57, 1.218, 12
52.29, 1.750, 7
77.30, 1.234, 6

***

Simulated powder XRD pattern of TbPr3Se4 for λ = 1.5418 Å (Cu Kα), from a crystal structure in Alexandria, relaxed with GGA-PBE.
Lines closer than 0.1° are merged.

Atomic structure:
a b c (Å): 7.354 7.354 4.166
angles (deg): 90.00 90.00 108.77
Sites, in units of the cell vectors:
Tb 0.000 0.000 0.000
Pr 0.000 0.500 0.500
Pr 0.500 0.000 0.500
Pr 0.500 0.500 0.000
Se 0.239 0.239 0.500
Se 0.245 0.755 0.000
Se 0.755 0.245 0.000
Se 0.761 0.761 0.500

The 10 most intense peaks (15 to 90 degrees two-theta), in order of falling intensity:
two_theta, d [Å], I/Imax
29.91, 2.987, 100
42.81, 2.113, 50
70.48, 1.336, 22
52.58, 1.741, 13
42.21, 2.141, 13
53.63, 1.709, 13
62.15, 1.494, 12
43.44, 2.083, 12
25.59, 3.481, 8
77.58, 1.231, 8

***

Simulated powder XRD pattern of TbPr4Se7 for λ = 1.5418 Å (Cu Kα), from a crystal structure in Alexandria, relaxed with GGA-PBE.
Lines closer than 0.1° are merged.

Atomic structure:
a b c (Å): 7.246 7.246 12.527
angles (deg): 104.33 104.33 33.03
Sites, in units of the cell vectors:
Tb 0.000 0.000 0.000
Pr 0.112 0.112 0.420
Pr 0.225 0.225 0.848
Pr 0.414 0.414 0.615
Pr 0.812 0.812 0.230
Se 0.074 0.074 0.638
Se 0.151 0.151 0.201
Se 0.380 0.380 0.071
Se 0.451 0.451 0.372
Se 0.608 0.608 0.926
Se 0.774 0.774 0.473
Se 0.856 0.856 0.779

The 10 most intense peaks (15 to 90 degrees two-theta), in order of falling intensity:
two_theta, d [Å], I/Imax
29.09, 3.069, 100
30.60, 2.922, 99
22.59, 3.936, 91
22.17, 4.009, 77
31.67, 2.826, 68
43.97, 2.059, 59
43.65, 2.074, 56
33.74, 2.656, 50
38.89, 2.316, 50
36.04, 2.492, 46

***

Simulated powder XRD pattern of Tb2Pr3Se8 for λ = 1.5418 Å (Cu Kα), from a crystal structure in Alexandria, relaxed with GGA-PBE.
Lines closer than 0.1° are merged.

Atomic structure:
a b c (Å): 8.455 8.455 7.204
angles (deg): 107.46 107.46 60.20
Sites, in units of the cell vectors:
Tb 0.241 0.241 0.158
Tb 0.759 0.759 0.842
Pr 0.237 0.763 0.500
Pr 0.500 0.500 0.000
Pr 0.763 0.237 0.500
Se 0.119 0.119 0.390
Se 0.134 0.609 0.081
Se 0.377 0.377 0.565
Se 0.391 0.866 0.919
Se 0.609 0.134 0.081
Se 0.623 0.623 0.435
Se 0.866 0.391 0.919
Se 0.881 0.881 0.610

The 10 most intense peaks (15 to 90 degrees two-theta), in order of falling intensity:
two_theta, d [Å], I/Imax
32.60, 2.747, 100
39.53, 2.280, 75
43.31, 2.089, 70
19.57, 4.536, 63
25.79, 3.455, 56
33.38, 2.684, 45
21.99, 4.042, 45
42.64, 2.120, 37
39.17, 2.300, 36
55.23, 1.663, 31

***

Simulated powder XRD pattern of TbPr4Se5 for λ = 1.5418 Å (Cu Kα), from a crystal structure in Alexandria, relaxed with GGA-PBE.
Lines closer than 0.1° are merged.

Atomic structure:
a b c (Å): 15.320 15.320 15.320
angles (deg): 164.14 164.14 22.50
Sites, in units of the cell vectors:
Tb 0.000 0.000 0.000
Pr 0.195 0.195 0.000
Pr 0.398 0.398 0.000
Pr 0.602 0.602 0.000
Pr 0.805 0.805 0.000
Se 0.096 0.096 0.000
Se 0.297 0.297 0.000
Se 0.500 0.500 0.000
Se 0.703 0.703 0.000
Se 0.904 0.904 0.000

The 10 most intense peaks (15 to 90 degrees two-theta), in order of falling intensity:
two_theta, d [Å], I/Imax
29.90, 2.989, 100
42.67, 2.119, 73
29.73, 3.005, 49
52.97, 1.729, 38
42.79, 2.113, 37
78.29, 1.221, 24
25.77, 3.457, 24
70.45, 1.337, 17
70.36, 1.338, 16
70.10, 1.342, 15